# Na3Tl5In
Simulated X-ray diffraction stick pattern, Cu Kα X-rays. Input: a PBE-relaxed structure.

Crystal structure
a b c (Å): 8.000 8.000 8.450
angles (deg): 90.00 90.00 90.00
Space group P4/mbm (No. 127)
Asymmetric unit:
Na 0.000 0.000 0.000 x2
Na 0.123 0.377 0.500 x4
Tl 0.000 0.000 0.500 x2
Tl 0.211 0.711 0.224 x8
In 0.000 0.500 0.000 x2

Top 10 peaks for 2θ = 5–70°, sorted by position:
- 2θ = 18.88°, I = 24
- 2θ = 22.23°, I = 14
- 2θ = 24.89°, I = 19
- 2θ = 30.78°, I = 100
- 2θ = 31.63°, I = 42
- 2θ = 32.80°, I = 25
- 2θ = 45.38°, I = 13
- 2θ = 51.85°, I = 18
- 2θ = 54.20°, I = 15
- 2θ = 55.81°, I = 18